This entry pairs a crystal structure of AlNCl4 with its simulated powder diffractogram. Radiation: Cu Ka. Structure: a DFT-relaxed cell (PBE, the Materials Project).
Lines closer than 0.1° are merged.

Structure:
Cell: 11.4350 7.3191 9.5707 Å, 90.00 90.00 90.00°
Space group Pnma (No. 62)
Inequivalent atoms, fractional coordinates:
Al1 0.0671 0.2500 0.1902 (multiplicity 4)
N1 0.1846 0.2500 0.6749 (multiplicity 4)
Cl1 0.0765 0.0118 0.3208 (multiplicity 8)
Cl2 0.0965 0.7500 0.9218 (multiplicity 4)
Cl3 0.2157 0.2500 0.0519 (multiplicity 4)

Top 12 peaks for 5° ≤ 2θ ≤ 70°, in order of rising 2θ:
hkl 0 1 1, 15.24 deg, I 84.2; hkl 2 0 1, 18.07 deg, I 71.9; hkl 1 1 2, 23.54 deg, I 60.9; hkl 2 0 2, 24.27 deg, I 45.8; hkl 1 2 1, 27.22 deg, I 100.0; hkl 3 1 1, 27.99 deg, I 40.7; hkl 1 0 3, 29.01 deg, I 42.8; hkl 3 0 2, 29.97 deg, I 54.6; hkl 0 1 3, 30.50 deg, I 59.3; hkl 4 0 1, 32.69 deg, I 33.3; hkl 1 2 3, 38.25 deg, I 33.9; hkl 3 2 4, 51.55 deg, I 57.7

This entry pairs a crystal structure of UCrB4 with its simulated powder diffractogram. Radiation: Cu Ka. Structure: a DFT-relaxed cell (PBE, the Materials Project).
Lines closer than 0.1° are merged.

Structure:
Cell: 5.8579 11.3543 3.4861 Å, 90.00 90.00 90.00°
Space group Pbam (No. 55)
Inequivalent atoms, fractional coordinates:
U1 0.1253 0.1506 0.0000 (multiplicity 4)
Cr1 0.1299 0.4119 0.0000 (multiplicity 4)
B1 0.0276 0.6917 0.5000 (multiplicity 4)
B2 0.1144 0.5462 0.5000 (multiplicity 4)
B3 0.1352 0.9668 0.5000 (multiplicity 4)
B4 0.2162 0.8131 0.5000 (multiplicity 4)

Top 12 peaks for 5° ≤ 2θ ≤ 70°, in order of rising 2θ:
hkl 1 1 0, 17.03 deg, I 18.9; hkl 1 2 0, 21.80 deg, I 41.0; hkl 0 0 1, 25.55 deg, I 69.5; hkl 1 3 0, 28.07 deg, I 37.5; hkl 0 4 0, 31.54 deg, I 85.0; hkl 1 2 1, 33.83 deg, I 33.8; hkl 1 3 1, 38.32 deg, I 39.6; hkl 0 4 1, 41.02 deg, I 100.0; hkl 1 4 1, 43.94 deg, I 19.8; hkl 2 5 0, 50.88 deg, I 17.9; hkl 2 5 1, 57.78 deg, I 20.4; hkl 0 4 2, 62.54 deg, I 25.1

This entry pairs a crystal structure of BaSrPrNbO6 with its simulated powder diffractogram. Radiation: Cu Ka. Structure: a DFT-relaxed cell (PBE, the Materials Project).
Lines closer than 0.1° are merged.

Structure:
Cell: 6.0752 6.1355 8.6169 Å, 90.45 90.44 90.24°
Space group P-1 (No. 2)
Inequivalent atoms, fractional coordinates:
Ba1 0.0064 0.0306 0.2504 (multiplicity 2)
Sr1 0.4907 0.5385 0.2520 (multiplicity 2)
Pr1 0.0000 0.5000 0.5000 (multiplicity 1)
Pr2 0.5000 0.0000 0.0000 (multiplicity 1)
Nb1 0.0000 0.5000 0.0000 (multiplicity 1)
Nb2 0.5000 0.0000 0.5000 (multiplicity 1)
O1 0.0903 0.5103 0.7714 (multiplicity 2)
O2 0.1936 0.7653 0.0416 (multiplicity 2)
O3 0.2338 0.8056 0.4656 (multiplicity 2)
O4 0.2674 0.3087 0.0481 (multiplicity 2)
O5 0.3142 0.2725 0.4526 (multiplicity 2)
O6 0.4292 0.0377 0.7292 (multiplicity 2)

Top 12 peaks for 5° ≤ 2θ ≤ 70°, in order of rising 2θ:
hkl 1 1 -2, 29.13 deg, I 96.4; hkl 1 -1 2, 29.26 deg, I 100.0; hkl 1 1 2, 29.44 deg, I 94.7; hkl 2 -2 0, 41.76 deg, I 25.6; hkl 0 0 4, 41.94 deg, I 53.2; hkl 1 -3 2, 51.56 deg, I 18.2; hkl 2 0 -4, 51.81 deg, I 20.4; hkl 3 1 -2, 51.94 deg, I 30.6; hkl 3 -1 2, 52.10 deg, I 22.3; hkl 3 1 2, 52.30 deg, I 21.3; hkl 2 -2 4, 60.68 deg, I 14.7; hkl 1 1 -6, 68.65 deg, I 19.3

This entry pairs a crystal structure of Ba3SrO4 with its simulated powder diffractogram. Radiation: Cu Ka. Structure: a DFT-relaxed cell (PBE, the Materials Project).
Lines closer than 0.1° are merged.

Structure:
Cell: 5.5325 5.5325 5.5325 Å, 90.00 90.00 90.00°
Space group Pm-3m (No. 221)
Inequivalent atoms, fractional coordinates:
Ba1 0.0000 0.0000 0.5000 (multiplicity 3)
Sr1 0.5000 0.5000 0.5000 (multiplicity 1)
O1 0.0000 0.0000 0.0000 (multiplicity 1)
O2 0.0000 0.5000 0.5000 (multiplicity 3)

Top 12 peaks for 5° ≤ 2θ ≤ 70°, in order of rising 2θ:
hkl 1 0 0, 16.02 deg, I 3.1; hkl 1 1 0, 22.73 deg, I 2.7; hkl 1 1 1, 27.93 deg, I 100.0; hkl 2 0 0, 32.36 deg, I 91.1; hkl 2 1 0, 36.31 deg, I 1.6; hkl 2 1 1, 39.92 deg, I 1.2; hkl 2 2 0, 46.42 deg, I 63.8; hkl 3 0 0, 49.42 deg, I 0.8; hkl 3 1 1, 55.05 deg, I 47.4; hkl 2 2 2, 57.72 deg, I 21.7; hkl 3 2 1, 62.85 deg, I 0.7; hkl 4 0 0, 67.75 deg, I 10.0

Which formula does entry 3 have? BaSrPrNbO6